Starting from a PBE-relaxed structure, the X-ray diffraction stick pattern of K3TaS4 was calculated for a wavelength of 1.5418 Å.

Structure:
Cell lengths 9.3775, 10.9114, 9.6114 Å; angles 90.00, 90.00, 90.00 degrees
Space group Pnma (No. 62)
Symmetry-distinct sites (fractional):
K  0.0610  0.0453  0.2130 x8
K  0.1327  0.7500  0.4257 x4
Ta  0.2130  0.7500  0.9881 x4
S  0.0082  0.2500  0.9112 x4
S  0.1661  0.0770  0.5512 x8
S  0.1878  0.7500  0.7510 x4

Most intense lines, 2θ = 10–90°, by angle:
2θ = 15.50°, d 5.717, intensity 100, hkl 1 1 1; 2θ = 16.25°, d 5.456, intensity 26, hkl 0 2 0; 2θ = 18.46°, d 4.806, intensity 16, hkl 0 0 2; 2θ = 24.69°, d 3.606, intensity 27, hkl 0 2 2; 2θ = 25.04°, d 3.556, intensity 20, hkl 2 2 0; 2θ = 26.54°, d 3.359, intensity 27, hkl 2 0 2; 2θ = 30.61°, d 2.921, intensity 24, hkl 1 1 3; 2θ = 31.15°, d 2.871, intensity 38, hkl 2 3 0